(1)
Diffraction record for SrAcZnN2. The powder XRD pattern is calculated, not measured: it uses a structure optimized by DFT (PBE) and Cu Kα X-rays.
No peak broadening, texture or thermal motion is included.

```
data_SrAcZnN2
_symmetry_space_group_name_H-M 'P c c m'
_symmetry_Int_Tables_number 49
_cell_length_a 5.5154
_cell_length_b 5.8334
_cell_length_c 7.1831
_cell_angle_alpha 90.00
_cell_angle_beta 90.00
_cell_angle_gamma 90.00
loop_
_symmetry_equiv_pos_as_xyz
'x,y,z'
'-x,-y,-z'
'-x,-y,z'
'x,y,-z'
'x,-y,-z+1/2'
'-x,y,z+1/2'
'-x,y,-z+1/2'
'x,-y,z+1/2'
loop_
_atom_site_label
_atom_site_type_symbol
_atom_site_fract_x
_atom_site_fract_y
_atom_site_fract_z
_atom_site_occupancy
Sr1 Sr 0.0000 0.0000 0.2500 1
Ac1 Ac 0.5000 0.5000 0.2500 1
Zn1 Zn 0.5000 0.0000 0.0000 1
N1 N 0.2837 0.2464 0.0000 1
```

Top 8 peaks for 2θ = 10–90°, sorted by position:
| (hkl) | d (Å) | I (rel.) |
| --- | --- | --- |
| 1 0 0 | 5.515 | 44 |
| 1 1 0 | 4.008 | 54 |
| 0 1 2 | 3.058 | 20 |
| 0 2 0 | 2.917 | 27 |
| 2 0 0 | 2.758 | 24 |
| 1 1 2 | 2.675 | 100 |
| 2 2 0 | 2.004 | 24 |
| 1 3 2 | 1.633 | 23 |

(2)
Diffraction record for Ba2Si3Au. The powder XRD pattern is calculated, not measured: it uses a structure optimized by DFT (PBE) and Cu Kα X-rays.
No peak broadening, texture or thermal motion is included.

```
data_Ba2Si3Au
_symmetry_space_group_name_H-M 'P -6 m 2'
_symmetry_Int_Tables_number 187
_symmetry_space_group_name_Hall 'P -6 2'
_cell_length_a 4.2944
_cell_length_b 4.2944
_cell_length_c 10.1011
_cell_angle_alpha 90.00
_cell_angle_beta 90.00
_cell_angle_gamma 120.00
loop_
_atom_site_label
_atom_site_type_symbol
_atom_site_fract_x
_atom_site_fract_y
_atom_site_fract_z
_atom_site_occupancy
Ba1 Ba 0.0000 0.0000 0.2499 1
Si1 Si 0.3333 0.6667 0.0000 1
Si2 Si 0.6667 0.3333 0.0000 1
Si3 Si 0.6667 0.3333 0.5000 1
Au1 Au 0.3333 0.6667 0.5000 1
```

Top 8 peaks for 2θ = 10–90°, sorted by position:
| (hkl) | d (Å) | I (rel.) |
| --- | --- | --- |
| 1 0 0 | 3.719 | 16 |
| 1 0 1 | 3.490 | 22 |
| 1 0 2 | 2.995 | 100 |
| 0 0 4 | 2.525 | 17 |
| 1 1 0 | 2.147 | 31 |
| 2 0 2 | 1.745 | 20 |
| 1 1 4 | 1.636 | 27 |
| 2 1 2 | 1.354 | 18 |

(3)
Diffraction record for NaPb12Au7. The powder XRD pattern is calculated, not measured: it uses a structure optimized by DFT (PBE) and Cu Kα X-rays.
No peak broadening, texture or thermal motion is included.

```
data_NaPb12Au7
_symmetry_space_group_name_H-M 'R -3'
_symmetry_Int_Tables_number 148
_symmetry_space_group_name_Hall '-R 3'
_cell_length_a 14.8006
_cell_length_b 14.8006
_cell_length_c 8.4291
_cell_angle_alpha 90.00
_cell_angle_beta 90.00
_cell_angle_gamma 120.00
loop_
_atom_site_label
_atom_site_type_symbol
_atom_site_fract_x
_atom_site_fract_y
_atom_site_fract_z
_atom_site_occupancy
Na1 Na 0.0000 0.0000 0.0000 1
Pb1 Pb 0.0331 0.2353 0.3683 1
Pb2 Pb 0.0669 0.5829 0.6623 1
Au1 Au 0.0000 0.0000 0.5000 1
Au2 Au 0.0219 0.1601 0.7196 1
```

Top 8 peaks for 2θ = 10–90°, sorted by position:
| (hkl) | d (Å) | I (rel.) |
| --- | --- | --- |
| 0 0 3 | 2.810 | 29 |
| 1 4 0 | 2.797 | 19 |
| 3 2 1 | 2.776 | 100 |
| 3 1 2 | 2.717 | 31 |
| 5 -3 2 | 2.412 | 61 |
| 2 2 3 | 2.238 | 19 |
| 8 -2 1 | 1.739 | 13 |
| 3 2 4 | 1.713 | 15 |

(4)
Diffraction record for La2Ni4GeP3. The powder XRD pattern is calculated, not measured: it uses a structure optimized by DFT (PBE) and Cu Kα X-rays.
No peak broadening, texture or thermal motion is included.

```
data_La2Ni4GeP3
_symmetry_space_group_name_H-M 'P 4 m m'
_symmetry_Int_Tables_number 99
_cell_length_a 4.0527
_cell_length_b 4.0527
_cell_length_c 9.7568
_cell_angle_alpha 90.00
_cell_angle_beta 90.00
_cell_angle_gamma 90.00
loop_
_symmetry_equiv_pos_as_xyz
'x,y,z'
'-y,x,z'
'-x,-y,z'
'y,-x,z'
'-x,y,z'
'y,x,z'
'x,-y,z'
'-y,-x,z'
loop_
_atom_site_label
_atom_site_type_symbol
_atom_site_fract_x
_atom_site_fract_y
_atom_site_fract_z
_atom_site_occupancy
La1 La 0.0000 0.0000 0.0000 1
La2 La 0.5000 0.5000 0.4875 1
Ni1 Ni 0.0000 0.5000 0.2423 1
Ni2 Ni 0.0000 0.5000 0.7551 1
Ge1 Ge 0.0000 0.0000 0.6249 1
P1 P 0.0000 0.0000 0.3604 1
P2 P 0.5000 0.5000 0.1280 1
P3 P 0.5000 0.5000 0.8622 1
```

Top 8 peaks for 2θ = 10–90°, sorted by position:
| (hkl) | d (Å) | I (rel.) |
| --- | --- | --- |
| 1 0 1 | 3.743 | 28 |
| 1 0 3 | 2.537 | 65 |
| 1 1 2 | 2.471 | 100 |
| 2 0 0 | 2.026 | 50 |
| 1 0 5 | 1.758 | 17 |
| 2 1 3 | 1.583 | 30 |
| 1 1 6 | 1.414 | 19 |
| 3 1 2 | 1.240 | 21 |